Structure and computed PXRD pattern of CrInIO4 (DFT lattice parameters and positions (GGA+U); Cu Kα, 1.54184 Å).

a = 5.918 Å, b = 5.918 Å, c = 9.770 Å
α = 112.38°, β = 112.38°, γ = 72.99°
Element x y z (fractional)
Cr1 0.204 0.204 0.339
Cr2 0.796 0.796 0.661
In1 0.455 0.455 0.767
In2 0.545 0.545 0.233
I1 0.268 0.268 0.927
I2 0.732 0.732 0.073
O1 0.100 0.720 0.743
O2 0.263 0.263 0.529
O3 0.280 0.900 0.257
O4 0.364 0.364 0.311
O5 0.636 0.636 0.689
O6 0.720 0.100 0.743
O7 0.737 0.737 0.471
O8 0.900 0.280 0.257

Main lines, by angle (10 to 90 degrees two-theta):
2θ 10.28, I = 38
2θ 16.46, I = 91
2θ 21.48, I = 43
2θ 25.30, I = 100
2θ 30.27, I = 82
2θ 31.44, I = 52
2θ 34.94, I = 32
2θ 39.88, I = 31
2θ 47.80, I = 28
2θ 52.01, I = 33